Ce6TlPb: theoretical powder diffractogram (Cu Ka), based on a crystal structure in Alexandria, relaxed with GGA-PBE.
Kinematic intensities with the Lorentz-polarization factor, no thermal factor.

Principal peaks in the range 2θ from 10° to 80°, in order of rising 2θ:
- (1 0 0), 18.4 deg, I 3
- (1 1 0), 26.1 deg, I 2
- (1 1 2), 32.1 deg, I 100
- (2 0 0), 37.3 deg, I 50
- (2 1 0), 41.9 deg, I 2
- (2 1 2), 46.1 deg, I 1
- (2 2 0), 53.7 deg, I 35
- (3 1 2), 64.0 deg, I 42
- (2 2 4), 67.2 deg, I 12
- (4 0 0), 79.4 deg, I 6

Cell and atoms:
a b c (Å): 4.827 4.827 9.651
angles (deg): 90.00 90.00 90.00
Space group P4/mmm (No. 123)
Asymmetric unit:
Ce: 0.000 0.000 0.000 (multiplicity 1)
Ce: 0.000 0.000 0.500 (multiplicity 1)
Ce: 0.000 0.500 0.250 (multiplicity 4)
Tl: 0.500 0.500 0.000 (multiplicity 1)
Pb: 0.500 0.500 0.500 (multiplicity 1)


Sr2ZnBPt6: theoretical powder diffractogram (Cu Ka), based on a crystal structure in Alexandria, relaxed with GGA-PBE.
Kinematic intensities with the Lorentz-polarization factor, no thermal factor.

Principal peaks in the range 2θ from 10° to 80°, in order of rising 2θ:
- (0 0 3), 13.5 deg, I 25
- (0 1 2), 19.9 deg, I 25
- (0 0 6), 27.1 deg, I 26
- (0 1 5), 28.8 deg, I 25
- (1 1 3), 33.9 deg, I 21
- (1 0 7), 36.6 deg, I 21
- (2 0 2), 37.1 deg, I 100
- (0 2 4), 40.4 deg, I 74
- (2 0 5), 42.8 deg, I 21
- (2 2 0), 64.5 deg, I 27

Cell and atoms:
a b c (Å): 5.7792 5.7792 19.7227
angles (deg): 90.00 90.00 120.00
Space group R-3m (No. 166, hexagonal axes)
Asymmetric unit:
Sr: 0.0000 0.0000 0.2117 (multiplicity 6)
Zn: 0.0000 0.0000 0.5000 (multiplicity 3)
B: 0.0000 0.0000 0.0000 (multiplicity 3)
Pt: 0.0174 0.5087 0.2730 (multiplicity 18)


CsZn2Bi2O6: theoretical powder diffractogram (Cu Ka), based on a crystal structure in Alexandria, relaxed with GGA-PBE.
Kinematic intensities with the Lorentz-polarization factor, no thermal factor.

Principal peaks in the range 2θ from 10° to 80°, in order of rising 2θ:
- (0 0 1), 15.5 deg, I 100
- (1 0 0), 16.6 deg, I 32
- (1 1 -1), 26.4 deg, I 36
- (1 -2 1), 26.5 deg, I 23
- (2 -1 0), 28.4 deg, I 59
- (1 -2 0), 30.4 deg, I 100
- (1 1 -2), 31.2 deg, I 72
- (1 -2 2), 31.3 deg, I 37
- (2 -1 1), 32.5 deg, I 35
- (2 -1 2), 42.7 deg, I 39

Cell and atoms:
a b c (Å): 6.293 6.744 6.849
angles (deg): 119.08 90.20 117.54
Space group P-1 (No. 2)
Asymmetric unit:
Cs: 0.000 0.000 0.000 (multiplicity 1)
Zn: 0.409 0.734 0.460 (multiplicity 2)
Bi: 0.320 0.642 0.964 (multiplicity 2)
O: 0.111 0.564 0.214 (multiplicity 2)
O: 0.396 0.299 0.763 (multiplicity 2)
O: 0.496 0.113 0.221 (multiplicity 2)